1.
Theoretical PXRD pattern of CoC4O4 for a wavelength of 1.5418 Å, from a DFT-relaxed cell (PBE+U, Alexandria).

```
CoC4O4
1.0
5.8333 0.0000 0.0000
0.0000 5.8333 0.0000
0.0000 0.0000 5.8333
Co C O
1 4 4
Cartesian
0.0000 0.0000 0.0000 Co
1.0441 1.0441 4.7892 C
1.0441 4.7892 1.0441 C
4.7892 1.0441 1.0441 C
4.7892 4.7892 4.7892 C
1.7125 1.7125 4.1208 O
1.7125 4.1208 1.7125 O
4.1208 1.7125 1.7125 O
4.1208 4.1208 4.1208 O
```

The 10 most intense peaks (2θ = 10–80°), low angle first:
2θ = 15.19°, d = 5.833 Å, I 82; 2θ = 21.54°, d = 4.125 Å, I 100; 2θ = 26.47°, d = 3.368 Å, I 92; 2θ = 34.38°, d = 2.609 Å, I 44; 2θ = 37.78°, d = 2.381 Å, I 22; 2θ = 43.90°, d = 2.062 Å, I 37; 2θ = 46.72°, d = 1.944 Å, I 23; 2θ = 51.99°, d = 1.759 Å, I 16; 2θ = 59.27°, d = 1.559 Å, I 25; 2θ = 68.21°, d = 1.375 Å, I 14

---

2.
Theoretical PXRD pattern of Sr2CoC2O2 for a wavelength of 1.5418 Å, from a DFT-relaxed cell (PBE+U, Alexandria).

```
Sr2CoC2O2
1.0
3.9901 0.0000 0.0000
0.0000 3.9901 0.0000
0.0000 0.0000 6.9903
Sr Co C O
2 1 2 2
Cartesian
0.0000 0.0000 1.6290 Sr
0.0000 0.0000 5.3613 Sr
1.9950 1.9950 0.0000 Co
1.9950 1.9950 2.8617 C
1.9950 1.9950 4.1286 C
0.0000 1.9950 0.0000 O
1.9950 0.0000 0.0000 O
```

The 10 most intense peaks (2θ = 10–80°), low angle first:
2θ = 12.66°, d = 6.990 Å, I 43; 2θ = 22.28°, d = 3.990 Å, I 20; 2θ = 31.71°, d = 2.821 Å, I 53; 2θ = 34.10°, d = 2.629 Å, I 100; 2θ = 41.12°, d = 2.195 Å, I 18; 2θ = 45.06°, d = 2.012 Å, I 11; 2θ = 45.46°, d = 1.995 Å, I 31; 2θ = 58.04°, d = 1.589 Å, I 41; 2θ = 62.52°, d = 1.486 Å, I 10; 2θ = 71.81°, d = 1.315 Å, I 10